[1]
This entry pairs a crystal structure of LaCrSe3 with its calculated XRD peak list. Radiation: CuKα. Structure: DFT lattice parameters and positions (PBE).
Intensities are scaled so that the largest is 100.

Main lines, in order of rising 2θ (10 to 80 degrees two-theta):
(1 0 3), 22.08 deg, I 11; (1 1 3), 31.50 deg, I 52; (2 1 1), 31.80 deg, I 44; (3 0 1), 33.22 deg, I 11; (2 1 2), 33.78 deg, I 100; (1 0 5), 34.17 deg, I 35; (3 0 2), 35.12 deg, I 14; (0 1 5), 39.57 deg, I 22; (3 0 4), 41.95 deg, I 16; (0 2 0), 45.27 deg, I 30; (1 2 5), 57.91 deg, I 15; (5 1 2), 62.32 deg, I 12

Cell and atoms:
```
data_LaCrSe3
_cell_length_a 8.2494
_cell_length_b 4.0065
_cell_length_c 13.8405
_cell_angle_alpha 90.00
_cell_angle_beta 90.00
_cell_angle_gamma 90.00
_symmetry_space_group_name_H-M 'P n m a'
_symmetry_Int_Tables_number 62
loop_
_symmetry_equiv_pos_as_xyz
'x,y,z'
'-x,-y,-z'
'-x+1/2,-y,z+1/2'
'x+1/2,y,-z+1/2'
'x+1/2,-y+1/2,-z+1/2'
'-x+1/2,y+1/2,z+1/2'
'-x,y+1/2,-z'
'x,-y+1/2,z'
loop_
_atom_site_label
_atom_site_fract_x
_atom_site_fract_y
_atom_site_fract_z
La1 0.0950 0.2500 0.1711
Cr1 0.1610 0.7500 0.4480
Se1 0.0125 0.7500 0.6062
Se2 0.1597 0.7500 0.0036
Se3 0.1915 0.2500 0.7878
```

***

[2]
This entry pairs a crystal structure of Li3Cr with its calculated XRD peak list. Radiation: CuKα. Structure: DFT lattice parameters and positions (PBE).
Intensities are scaled so that the largest is 100.

Main lines, in order of rising 2θ (10 to 80 degrees two-theta):
(1 0 0), 17.46 deg, I 41; (1 0 1), 25.25 deg, I 100; (1 1 0), 30.48 deg, I 41; (2 0 0), 35.34 deg, I 13; (0 0 2), 36.68 deg, I 16; (2 0 1), 39.98 deg, I 56; (1 0 2), 40.90 deg, I 9; (1 1 2), 48.41 deg, I 20; (2 1 1), 51.09 deg, I 25; (2 0 3), 68.28 deg, I 10; (3 1 1), 69.41 deg, I 9; (2 2 2), 75.57 deg, I 10

Cell and atoms:
```
data_Li3Cr
_cell_length_a 5.8660
_cell_length_b 5.8660
_cell_length_c 4.8995
_cell_angle_alpha 90.00
_cell_angle_beta 90.00
_cell_angle_gamma 120.00
_symmetry_space_group_name_H-M 'P 63/m m c'
_symmetry_Int_Tables_number 194
_symmetry_space_group_name_Hall '-P 6c 2c'
loop_
_atom_site_label
_atom_site_fract_x
_atom_site_fract_y
_atom_site_fract_z
Li1 0.1672 0.3344 0.2500
Cr1 0.3333 0.6667 0.7500
```

***

[3]
This entry pairs a crystal structure of Li3Cr with its calculated XRD peak list. Radiation: CuKα. Structure: DFT lattice parameters and positions (PBE).
Intensities are scaled so that the largest is 100.

Main lines, in order of rising 2θ (10 to 80 degrees two-theta):
(1 0 0), 21.27 deg, I 100; (1 1 0), 30.25 deg, I 81; (1 1 1), 37.28 deg, I 60; (2 0 0), 43.32 deg, I 28; (2 1 0), 48.74 deg, I 38; (2 1 1), 53.75 deg, I 27; (2 2 0), 62.92 deg, I 17; (3 0 0), 67.23 deg, I 16; (3 1 0), 71.40 deg, I 10; (3 1 1), 75.47 deg, I 19; (2 2 2), 79.47 deg, I 5

Cell and atoms:
```
data_Li3Cr
_cell_length_a 4.1777
_cell_length_b 4.1777
_cell_length_c 4.1777
_cell_angle_alpha 90.00
_cell_angle_beta 90.00
_cell_angle_gamma 90.00
_symmetry_space_group_name_H-M 'P m -3 m'
_symmetry_Int_Tables_number 221
_symmetry_space_group_name_Hall '-P 4 2 3'
loop_
_atom_site_label
_atom_site_fract_x
_atom_site_fract_y
_atom_site_fract_z
Li1 0.0000 0.0000 0.5000
Cr1 0.5000 0.5000 0.5000
```

***

[4]
This entry pairs a crystal structure of Li3Cr with its calculated XRD peak list. Radiation: CuKα. Structure: DFT lattice parameters and positions (PBE).
Intensities are scaled so that the largest is 100.

Main lines, in order of rising 2θ (10 to 80 degrees two-theta):
(1 1 1), 23.19 deg, I 100; (2 0 0), 26.84 deg, I 52; (2 2 0), 38.32 deg, I 76; (3 1 1), 45.27 deg, I 45; (2 2 2), 47.41 deg, I 13; (4 0 0), 55.31 deg, I 12; (3 3 1), 60.77 deg, I 16; (4 2 0), 62.53 deg, I 15; (4 2 2), 69.29 deg, I 23; (5 1 1), 74.17 deg, I 11

Cell and atoms:
```
data_Li3Cr
_cell_length_a 6.6433
_cell_length_b 6.6433
_cell_length_c 6.6433
_cell_angle_alpha 90.00
_cell_angle_beta 90.00
_cell_angle_gamma 90.00
_symmetry_space_group_name_H-M 'F m -3 m'
_symmetry_Int_Tables_number 225
_symmetry_space_group_name_Hall '-F 4 2 3'
loop_
_atom_site_label
_atom_site_fract_x
_atom_site_fract_y
_atom_site_fract_z
Li1 0.0000 0.0000 0.0000
Li2 0.2500 0.2500 0.2500
Cr1 0.0000 0.0000 0.5000
```

***

[5]
This entry pairs a crystal structure of LiMg14Cr with its calculated XRD peak list. Radiation: CuKα. Structure: DFT lattice parameters and positions (PBE).
Intensities are scaled so that the largest is 100.

Main lines, in order of rising 2θ (10 to 80 degrees two-theta):
(1 0 1), 18.37 deg, I 12; (1 1 1), 29.48 deg, I 3; (1 0 3), 31.22 deg, I 3; (2 0 0), 32.53 deg, I 24; (0 0 4), 35.68 deg, I 25; (2 0 2), 37.24 deg, I 100; (2 0 4), 49.06 deg, I 15; (2 2 0), 58.05 deg, I 17; (2 0 6), 65.12 deg, I 18; (2 2 4), 70.03 deg, I 19; (4 0 2), 71.01 deg, I 13; (4 0 4), 79.37 deg, I 3

Cell and atoms:
```
data_LiMg14Cr
_cell_length_a 6.3557
_cell_length_b 6.3557
_cell_length_c 10.0650
_cell_angle_alpha 90.00
_cell_angle_beta 90.00
_cell_angle_gamma 120.00
_symmetry_space_group_name_H-M 'P -6 m 2'
_symmetry_Int_Tables_number 187
_symmetry_space_group_name_Hall 'P -6 2'
loop_
_atom_site_label
_atom_site_fract_x
_atom_site_fract_y
_atom_site_fract_z
Li1 0.0000 0.0000 0.0000
Mg1 0.0010 0.5005 0.0000
Mg2 0.0012 0.5006 0.5000
Mg3 0.1643 0.3287 0.2515
Mg4 0.6667 0.3333 0.2490
Cr1 0.0000 0.0000 0.5000
```

***

[6]
This entry pairs a crystal structure of LiMg14Cr with its calculated XRD peak list. Radiation: CuKα. Structure: DFT lattice parameters and positions (PBE).
Intensities are scaled so that the largest is 100.

Main lines, in order of rising 2θ (10 to 80 degrees two-theta):
(1 1 1), 18.31 deg, I 12; (0 2 2), 32.42 deg, I 24; (0 0 4), 32.58 deg, I 12; (4 0 0), 35.56 deg, I 37; (2 2 2), 37.11 deg, I 100; (2 0 4), 37.25 deg, I 49; (4 2 2), 48.88 deg, I 14; (0 2 6), 58.04 deg, I 17; (6 2 2), 64.91 deg, I 26; (4 4 0), 69.67 deg, I 9; (4 2 6), 69.95 deg, I 18; (2 4 4), 70.74 deg, I 13

Cell and atoms:
```
data_LiMg14Cr
_cell_length_a 10.0991
_cell_length_b 6.3876
_cell_length_c 10.9921
_cell_angle_alpha 90.00
_cell_angle_beta 90.00
_cell_angle_gamma 90.00
_symmetry_space_group_name_H-M 'A m m 2'
_symmetry_Int_Tables_number 38
loop_
_symmetry_equiv_pos_as_xyz
'x,y,z'
'-x,-y,z'
'-x,y,z'
'x,-y,z'
'x,y+1/2,z+1/2'
'-x,-y+1/2,z+1/2'
'-x,y+1/2,z+1/2'
'x,-y+1/2,z+1/2'
loop_
_atom_site_label
_atom_site_fract_x
_atom_site_fract_y
_atom_site_fract_z
Li1 0.0000 0.0000 0.0000
Mg1 0.0000 0.2492 0.7507
Mg2 0.2443 0.2476 0.4195
Mg3 0.2457 0.0000 0.6645
Mg4 0.2501 0.0000 0.1666
Mg5 0.5000 0.0000 0.0000
Mg6 0.5000 0.0000 0.5002
Mg7 0.5000 0.2502 0.2509
Cr1 0.0000 0.0000 0.5005
```